1.
Theoretical X-ray powder pattern
Compound: NaCrBr2
Radiation: Cu Kα (λ = 1.5418 Å)
Structure: the GGA-PBE geometry in Alexandria

Crystal structure
```
4
Lattice="2.0383 1.1768 8.6723 -2.0383 1.1768 8.6723 0.0000 -2.3536 8.6723" Properties=species:S:1:pos:R:3 pbc="T T T"
Na 0.0000 0.0000 0.0000
Cr 0.0000 0.0000 13.0085
Br 0.0000 0.0000 2.8668
Br 0.0000 0.0000 23.1503
```

Largest 10 diffraction maxima, sorted by position, 2θ from 10° to 80°:
two_theta, I (rel.)
10.20, 100
25.46, 28
26.15, 34
30.60, 64
37.60, 42
43.20, 31
44.45, 38
45.73, 14
52.56, 12
55.13, 13

=====

2.
Theoretical X-ray powder pattern
Compound: Na3CrBr6
Radiation: Cu Kα (λ = 1.5418 Å)
Structure: the GGA-PBE geometry in Alexandria

Crystal structure
```
20
Lattice="5.9704 3.4470 4.8248 -5.9704 3.4470 4.8248 0.0000 -6.8940 4.8248" Properties=species:S:1:pos:R:3 pbc="T T T"
Na -4.0046 -1.2486 6.7540
Na -0.9210 -4.0924 7.7204
Na -3.0836 2.8438 7.7204
Na 3.0836 -2.8438 6.7540
Na 0.9210 4.0924 6.7540
Na 4.0046 1.2486 7.7204
Cr 0.0000 0.0000 0.0000
Cr 0.0000 0.0000 7.2372
Br -3.9528 -3.8526 8.1653
Br -5.3129 1.4969 6.3092
Br -1.2048 -1.7218 5.7994
Br 1.3601 -5.3495 6.3091
Br -0.8888 1.9043 5.7994
Br -2.0935 0.1824 8.6751
Br 2.0935 -0.1824 5.7994
Br 0.8888 -1.9043 8.6751
Br -1.3601 5.3495 8.1653
Br 1.2048 1.7218 8.6751
Br 5.3129 -1.4969 8.1653
Br 3.9528 3.8526 6.3092
```

Largest 10 diffraction maxima, sorted by position, 2θ from 10° to 80°:
two_theta, I (rel.)
14.84, 25
14.94, 43
21.12, 24
25.90, 100
26.09, 26
33.61, 64
33.76, 86
39.97, 55
48.52, 30
55.51, 22